# Li5Co4Si4O16
Theoretical PXRD pattern, λ = 1.5418 Å (Cu Kα). Input: the GGA+U geometry in the Materials Project.
Lines closer than 0.1° are merged.

Peak list (6 most intense, 2θ from 15° to 90°, by intensity)
2θ 22.10, I 1000
2θ 21.67, I 996
2θ 35.32, I 373
2θ 32.13, I 372
2θ 34.18, I 308
2θ 23.69, I 194

Structural model:
Cell: 8.3113 8.3113 10.4927 Å, 90.10 90.10 75.41°
Fractional positions:
Li  0.0070  0.9930  0.5000
Li  0.0977  0.6536  0.5839
Li  0.0989  0.1632  0.7638
Li  0.1632  0.0989  0.2638
Li  0.1629  0.5966  0.0856
Li  0.5966  0.1629  0.5856
Li  0.5981  0.6644  0.7642
Li  0.6536  0.0977  0.0839
Li  0.6644  0.5981  0.2642
Li  0.9930  0.0070  0.0000
Co  0.3463  0.4102  0.7689
Co  0.3541  0.9048  0.5801
Co  0.4102  0.3463  0.2689
Co  0.4172  0.8414  0.0860
Co  0.8382  0.9082  0.7600
Co  0.8414  0.4172  0.5860
Co  0.9048  0.3541  0.0801
Co  0.9082  0.8382  0.2600
Si  0.2204  0.2797  0.5187
Si  0.2251  0.7900  0.8306
Si  0.2797  0.2204  0.0187
Si  0.2868  0.7216  0.3262
Si  0.7216  0.2868  0.8262
Si  0.7277  0.7882  0.5109
Si  0.7882  0.7277  0.0109
Si  0.7900  0.2251  0.3306
O  0.0545  0.4337  0.5397
O  0.0576  0.9453  0.8224
O  0.1074  0.1772  0.0747
O  0.1254  0.6815  0.2601
O  0.1772  0.1074  0.5747
O  0.1929  0.6202  0.7640
O  0.2484  0.7760  0.4785
O  0.2508  0.2716  0.8675
O  0.2705  0.7574  0.9835
O  0.2716  0.2508  0.3675
O  0.3201  0.3732  0.1019
O  0.3355  0.8790  0.2529
O  0.3732  0.3201  0.6019
O  0.3781  0.8370  0.7509
O  0.4337  0.0545  0.0397
O  0.4442  0.5544  0.3106
O  0.5544  0.4442  0.8106
O  0.5583  0.9411  0.5394
O  0.6202  0.1929  0.2640
O  0.6251  0.6933  0.0869
O  0.6815  0.1254  0.7601
O  0.6933  0.6251  0.5869
O  0.7518  0.7542  0.8602
O  0.7542  0.7518  0.3602
O  0.7574  0.2705  0.4835
O  0.7760  0.2484  0.9785
O  0.8370  0.3781  0.2509
O  0.8410  0.8881  0.0766
O  0.8790  0.3355  0.7529
O  0.8881  0.8410  0.5766
O  0.9411  0.5583  0.0394
O  0.9453  0.0576  0.3224

=====

# LiMnB2O5
Theoretical PXRD pattern, λ = 1.5418 Å (Cu Kα). Input: the GGA+U geometry in the Materials Project.
Lines closer than 0.1° are merged.

Peak list (6 most intense, 2θ from 15° to 90°, by intensity)
2θ 16.34, I 1000
2θ 30.50, I 597
2θ 19.92, I 430
2θ 33.87, I 319
2θ 24.51, I 235
2θ 33.03, I 217

Structural model:
Cell: 6.8928 9.3051 6.0530 Å, 90.00 104.44 90.00°
Fractional positions:
Li  0.2116  0.0620  0.1659
Li  0.2116  0.4380  0.6659
Li  0.7884  0.5620  0.3341
Li  0.7884  0.9380  0.8341
Mn  0.2408  0.6748  0.2789
Mn  0.2408  0.8252  0.7789
Mn  0.7592  0.1748  0.2211
Mn  0.7592  0.3252  0.7211
B  0.0923  0.1210  0.6796
B  0.0923  0.3790  0.1796
B  0.4568  0.0891  0.7372
B  0.4568  0.4109  0.2372
B  0.5432  0.5891  0.7628
B  0.5432  0.9109  0.2628
B  0.9077  0.6210  0.8204
B  0.9077  0.8790  0.3204
O  0.0637  0.7098  0.9141
O  0.0637  0.7902  0.4141
O  0.0699  0.5051  0.2884
O  0.0699  0.9949  0.7884
O  0.2808  0.1697  0.6620
O  0.2808  0.3303  0.1620
O  0.3609  0.6537  0.6863
O  0.3609  0.8463  0.1863
O  0.4596  0.5577  0.2429
O  0.4596  0.9423  0.7429
O  0.5404  0.0577  0.2571
O  0.5404  0.4423  0.7571
O  0.6391  0.1537  0.8137
O  0.6391  0.3463  0.3137
O  0.7192  0.6697  0.8380
O  0.7192  0.8303  0.3380
O  0.9301  0.0051  0.2116
O  0.9301  0.4949  0.7116
O  0.9363  0.2098  0.5859
O  0.9363  0.2902  0.0859

=====

# V3OF11
Theoretical PXRD pattern, λ = 1.5418 Å (Cu Kα). Input: the GGA+U geometry in the Materials Project.
Lines closer than 0.1° are merged.

Peak list (6 most intense, 2θ from 15° to 90°, by intensity)
2θ 22.49, I 1000
2θ 23.54, I 828
2θ 18.43, I 457
2θ 27.45, I 445
2θ 46.52, I 314
2θ 31.54, I 301

Structural model:
Cell: 5.4295 5.9901 7.3259 Å, 94.55 99.25 97.52°
Fractional positions:
V  0.0000  0.0000  0.0000
V  0.2299  0.3300  0.7373
V  0.5682  0.1822  0.3418
O  0.2938  0.1871  0.2112
F  0.0095  0.1631  0.5465
F  0.0799  0.7693  0.1172
F  0.1595  0.5915  0.6570
F  0.2538  0.0149  0.8478
F  0.4861  0.4370  0.9169
F  0.4985  0.2921  0.5748
F  0.5548  0.9070  0.4119
F  0.7405  0.0652  0.1480
F  0.7522  0.4465  0.3345
F  0.7612  0.8805  0.8125
F  0.9901  0.3047  0.9120

=====

- Number 2 is which compound?
  LiMnB2O5

=====

- Number 1 is which compound?
  Li5Co4Si4O16